(1)
Starting from DFT lattice parameters and positions (PBE), the powder XRD pattern of La6PmPr3 was computed for CuKα.
No peak broadening, texture or thermal motion is included.

Largest 8 diffraction maxima, sorted by position, 2θ from 15° to 90°:
27.89 deg, intensity 65, hkl 2 -1 3
30.34 deg, intensity 100, hkl 3 0 0
30.75 deg, intensity 19, hkl 1 0 4
39.81 deg, intensity 15, hkl 3 -1 4
41.68 deg, intensity 21, hkl 2 2 3
47.40 deg, intensity 13, hkl 1 3 4
52.41 deg, intensity 21, hkl 5 -1 3
53.90 deg, intensity 19, hkl 3 3 0

Structure:
```
data_La6PmPr3
_chemical_formula_sum 'La18 Pm3 Pr9'
_symmetry_space_group_name_H-M 'R 3'
_symmetry_Int_Tables_number 146
_symmetry_space_group_name_Hall 'R 3'
_cell_length_a 10.2064
_cell_length_b 10.2064
_cell_length_c 12.3173
_cell_angle_alpha 90.00
_cell_angle_beta 90.00
_cell_angle_gamma 120.00
loop_
_atom_site_label
_atom_site_fract_x
_atom_site_fract_y
_atom_site_fract_z
_atom_site_occupancy
La1 0.0054 0.6798 0.0000 1
La2 0.0068 0.3260 0.5005 1
Pm1 0.0000 0.0000 0.7540 1
Pr1 0.0000 0.0000 0.0071 1
Pr2 0.0000 0.0000 0.2539 1
Pr3 0.0000 0.0000 0.5087 1
```

(2)
Starting from DFT lattice parameters and positions (PBE), the powder XRD pattern of LiNpCuO5 was computed for CuKα.
No peak broadening, texture or thermal motion is included.

Largest 8 diffraction maxima, sorted by position, 2θ from 15° to 90°:
18.05 deg, intensity 32, hkl 0 2 0
18.47 deg, intensity 100, hkl 1 1 -1
25.19 deg, intensity 62, hkl 1 1 1
30.52 deg, intensity 53, hkl 0 2 2
31.78 deg, intensity 36, hkl 1 3 -1
32.54 deg, intensity 21, hkl 2 0 -2
37.25 deg, intensity 20, hkl 2 2 0
46.96 deg, intensity 22, hkl 3 1 -1

Structure:
```
data_LiNpCuO5
_chemical_formula_sum 'Li4 Np4 Cu4 O20'
_symmetry_space_group_name_H-M 'C 1 2/c 1'
_symmetry_Int_Tables_number 15
_cell_length_a 5.9678
_cell_length_b 9.8306
_cell_length_c 7.8539
_cell_angle_alpha 90.00
_cell_angle_beta 111.75
_cell_angle_gamma 90.00
loop_
_symmetry_equiv_pos_as_xyz
'x,y,z'
'-x,-y,-z'
'-x,y,-z+1/2'
'x,-y,z+1/2'
'x+1/2,y+1/2,z'
'-x+1/2,-y+1/2,-z'
'-x+1/2,y+1/2,-z+1/2'
'x+1/2,-y+1/2,z+1/2'
loop_
_atom_site_label
_atom_site_fract_x
_atom_site_fract_y
_atom_site_fract_z
_atom_site_occupancy
Li1 0.0000 0.0426 0.2500 1
Np1 0.2500 0.2500 0.0000 1
Cu1 0.0000 0.4504 0.2500 1
O1 0.0000 0.1601 0.7500 1
O2 0.0125 0.3195 0.4394 1
O3 0.2410 0.0756 0.1335 1
```

(3)
Starting from DFT lattice parameters and positions (PBE), the powder XRD pattern of Tb12Pr7In was computed for CuKα.
No peak broadening, texture or thermal motion is included.

Largest 8 diffraction maxima, sorted by position, 2θ from 15° to 90°:
29.94 deg, intensity 29, hkl 0 1 5
30.43 deg, intensity 28, hkl 0 3 3
30.67 deg, intensity 100, hkl 4 -3 1
31.94 deg, intensity 69, hkl 3 -1 4
32.29 deg, intensity 47, hkl 3 1 2
33.34 deg, intensity 25, hkl 2 0 5
52.78 deg, intensity 17, hkl 1 4 6
53.44 deg, intensity 20, hkl 2 5 0

Structure:
```
data_Tb12Pr7In
_chemical_formula_sum 'Tb36 Pr21 In3'
_symmetry_space_group_name_H-M 'R -3'
_symmetry_Int_Tables_number 148
_symmetry_space_group_name_Hall '-R 3'
_cell_length_a 12.3573
_cell_length_b 12.3573
_cell_length_c 15.5387
_cell_angle_alpha 90.00
_cell_angle_beta 90.00
_cell_angle_gamma 120.00
loop_
_atom_site_label
_atom_site_fract_x
_atom_site_fract_y
_atom_site_fract_z
_atom_site_occupancy
Tb1 0.0332 0.1865 0.3089 1
Tb2 0.0697 0.8110 0.9245 1
Pr1 0.0000 0.0000 0.5000 1
Pr2 0.0090 0.4315 0.2027 1
In1 0.0000 0.0000 0.0000 1
```

(4)
Starting from DFT lattice parameters and positions (PBE), the powder XRD pattern of Sm4Y9In11 was computed for CuKα.
No peak broadening, texture or thermal motion is included.

Largest 8 diffraction maxima, sorted by position, 2θ from 15° to 90°:
31.98 deg, intensity 58, hkl 4 6 0
32.38 deg, intensity 60, hkl 1 5 1
33.83 deg, intensity 96, hkl 5 5 0
33.94 deg, intensity 86, hkl 4 0 1
34.38 deg, intensity 100, hkl 0 6 1
38.18 deg, intensity 45, hkl 5 1 1
58.28 deg, intensity 46, hkl 5 11 1
61.56 deg, intensity 43, hkl 9 5 1

Structure:
```
data_Sm4Y9In11
_chemical_formula_sum 'Sm8 Y18 In22'
_symmetry_space_group_name_H-M 'C m m m'
_symmetry_Int_Tables_number 65
_symmetry_space_group_name_Hall '-C 2 2'
_cell_length_a 16.0688
_cell_length_b 23.4095
_cell_length_c 3.5064
_cell_angle_alpha 90.00
_cell_angle_beta 90.00
_cell_angle_gamma 90.00
loop_
_atom_site_label
_atom_site_fract_x
_atom_site_fract_y
_atom_site_fract_z
_atom_site_occupancy
Sm1 0.1743 0.0816 0.0000 1
Y1 0.0000 0.0000 0.0000 1
Y2 0.1067 0.4035 0.0000 1
Y3 0.1115 0.2233 0.0000 1
In1 0.0000 0.1212 0.5000 1
In2 0.0000 0.3114 0.5000 1
In3 0.0000 0.5000 0.5000 1
In4 0.2008 0.5000 0.5000 1
In5 0.2253 0.3158 0.5000 1
```

(5)
Starting from DFT lattice parameters and positions (PBE), the powder XRD pattern of ScMnAl4 was computed for CuKα.
No peak broadening, texture or thermal motion is included.

Largest 8 diffraction maxima, sorted by position, 2θ from 15° to 90°:
20.53 deg, intensity 97, hkl 1 1 0
36.81 deg, intensity 55, hkl 1 1 4
40.11 deg, intensity 19, hkl 2 1 3
41.76 deg, intensity 52, hkl 2 2 0
42.51 deg, intensity 100, hkl 2 0 4
46.97 deg, intensity 34, hkl 3 1 0
56.87 deg, intensity 16, hkl 3 1 4
76.77 deg, intensity 17, hkl 4 2 4

Structure:
```
data_ScMnAl4
_chemical_formula_sum 'Sc4 Mn4 Al16'
_symmetry_space_group_name_H-M 'I 4/m c m'
_symmetry_Int_Tables_number 140
_symmetry_space_group_name_Hall '-I 4 2c'
_cell_length_a 6.1172
_cell_length_b 6.1172
_cell_length_c 11.8333
_cell_angle_alpha 90.00
_cell_angle_beta 90.00
_cell_angle_gamma 90.00
loop_
_atom_site_label
_atom_site_fract_x
_atom_site_fract_y
_atom_site_fract_z
_atom_site_occupancy
Sc1 0.0000 0.0000 0.0000 1
Mn1 0.0000 0.0000 0.2500 1
Al1 0.2057 0.2943 0.1462 1
```

(6)
Starting from DFT lattice parameters and positions (PBE), the powder XRD pattern of Dy2Ho12Mg was computed for CuKα.
No peak broadening, texture or thermal motion is included.

Largest 8 diffraction maxima, sorted by position, 2θ from 15° to 90°:
29.92 deg, intensity 33, hkl 0 0 8
30.67 deg, intensity 40, hkl 0 2 7
31.91 deg, intensity 73, hkl 0 4 0
32.02 deg, intensity 32, hkl 2 0 -6
32.19 deg, intensity 100, hkl 2 2 2
32.42 deg, intensity 37, hkl 2 2 -4
34.02 deg, intensity 37, hkl 0 2 8
45.83 deg, intensity 29, hkl 2 0 9

Structure:
```
data_Dy2Ho12Mg
_chemical_formula_sum 'Dy8 Ho48 Mg4'
_symmetry_space_group_name_H-M 'C 1 2/m 1'
_symmetry_Int_Tables_number 12
_cell_length_a 6.9574
_cell_length_b 11.2164
_cell_length_c 24.0929
_cell_angle_alpha 90.00
_cell_angle_beta 97.57
_cell_angle_gamma 90.00
loop_
_symmetry_equiv_pos_as_xyz
'x,y,z'
'-x,-y,-z'
'-x,y,-z'
'x,-y,z'
'x+1/2,y+1/2,z'
'-x+1/2,-y+1/2,-z'
'-x+1/2,y+1/2,-z'
'x+1/2,-y+1/2,z'
loop_
_atom_site_label
_atom_site_fract_x
_atom_site_fract_y
_atom_site_fract_z
_atom_site_occupancy
Dy1 0.0242 0.0000 0.2873 1
Dy2 0.0246 0.5000 0.2659 1
Ho1 0.0648 0.2273 0.9337 1
Ho2 0.0986 0.2399 0.4438 1
Ho3 0.1271 0.5000 0.1076 1
Ho4 0.1497 0.0000 0.1506 1
Ho5 0.1551 0.5000 0.5807 1
Ho6 0.1695 0.0000 0.5700 1
Ho7 0.2052 0.2552 0.6732 1
Ho8 0.2116 0.2178 0.8053 1
Mg1 0.2235 0.0000 0.0169 1
```

(7)
Starting from DFT lattice parameters and positions (PBE), the powder XRD pattern of SrInGaHIr was computed for CuKα.
No peak broadening, texture or thermal motion is included.

Largest 8 diffraction maxima, sorted by position, 2θ from 15° to 90°:
30.65 deg, intensity 100, hkl 1 0 4
34.13 deg, intensity 53, hkl 0 1 5
41.00 deg, intensity 88, hkl 1 1 0
42.20 deg, intensity 19, hkl 1 0 7
43.77 deg, intensity 32, hkl 1 1 3
52.05 deg, intensity 23, hkl 0 2 4
62.52 deg, intensity 26, hkl 1 1 9
68.31 deg, intensity 20, hkl 2 1 4

Structure:
```
data_SrInGaHIr
_chemical_formula_sum 'Sr3 In3 Ga3 H3 Ir3'
_symmetry_space_group_name_H-M 'R 3 m'
_symmetry_Int_Tables_number 160
_symmetry_space_group_name_Hall 'R 3 -2"'
_cell_length_a 4.4023
_cell_length_b 4.4023
_cell_length_c 18.1204
_cell_angle_alpha 90.00
_cell_angle_beta 90.00
_cell_angle_gamma 120.00
loop_
_atom_site_label
_atom_site_fract_x
_atom_site_fract_y
_atom_site_fract_z
_atom_site_occupancy
Sr1 0.0000 0.0000 0.0000 1
In1 0.0000 0.0000 0.7969 1
Ga1 0.0000 0.0000 0.2092 1
H1 0.0000 0.0000 0.6321 1
Ir1 0.0000 0.0000 0.5412 1
```

(8)
Starting from DFT lattice parameters and positions (PBE), the powder XRD pattern of Ac2LaBi3 was computed for CuKα.
No peak broadening, texture or thermal motion is included.

Largest 8 diffraction maxima, sorted by position, 2θ from 15° to 90°:
26.13 deg, intensity 100, hkl 2 0 6
37.28 deg, intensity 80, hkl 2 4 6
46.09 deg, intensity 30, hkl 0 4 12
53.75 deg, intensity 14, hkl 0 8 0
60.71 deg, intensity 39, hkl 2 8 6
67.23 deg, intensity 29, hkl 2 4 18
79.47 deg, intensity 9, hkl 0 0 24
85.38 deg, intensity 20, hkl 0 4 24

Structure:
```
data_Ac2LaBi3
_chemical_formula_sum 'Ac32 La16 Bi48'
_symmetry_space_group_name_H-M 'F d d d'
_symmetry_Int_Tables_number 70
_cell_length_a 9.6510
_cell_length_b 13.6448
_cell_length_c 28.9300
_cell_angle_alpha 90.00
_cell_angle_beta 90.00
_cell_angle_gamma 90.00
loop_
_symmetry_equiv_pos_as_xyz
'x,y,z'
'-x,-y,-z'
'-x+1/4,-y+1/4,z'
'x+1/4,y+1/4,-z'
'x,-y+1/4,-z+1/4'
'-x,y+1/4,z+1/4'
'-x+1/4,y,-z+1/4'
'x+1/4,-y,z+1/4'
'x,y+1/2,z+1/2'
'-x,-y+1/2,-z+1/2'
'-x+1/4,-y+3/4,z+1/2'
'x+1/4,y+3/4,-z+1/2'
'x,-y+3/4,-z+3/4'
'-x,y+3/4,z+3/4'
'-x+1/4,y+1/2,-z+3/4'
'x+1/4,-y+1/2,z+3/4'
'x+1/2,y,z+1/2'
'-x+1/2,-y,-z+1/2'
'-x+3/4,-y+1/4,z+1/2'
'x+3/4,y+1/4,-z+1/2'
'x+1/2,-y+1/4,-z+3/4'
'-x+1/2,y+1/4,z+3/4'
'-x+3/4,y,-z+3/4'
'x+3/4,-y,z+3/4'
'x+1/2,y+1/2,z'
'-x+1/2,-y+1/2,-z'
'-x+3/4,-y+3/4,z'
'x+3/4,y+3/4,-z'
'x+1/2,-y+3/4,-z+1/4'
'-x+1/2,y+3/4,z+1/4'
'-x+3/4,y+1/2,-z+1/4'
'x+3/4,-y+1/2,z+1/4'
loop_
_atom_site_label
_atom_site_fract_x
_atom_site_fract_y
_atom_site_fract_z
_atom_site_occupancy
Ac1 0.1250 0.1250 0.0423 1
Ac2 0.1250 0.1250 0.3742 1
La1 0.1250 0.1250 0.5415 1
Bi1 0.1170 0.3750 0.8750 1
Bi2 0.1212 0.3714 0.7097 1
```

(9)
Starting from DFT lattice parameters and positions (PBE), the powder XRD pattern of Nd2Th2O7 was computed for CuKα.
No peak broadening, texture or thermal motion is included.

Largest 8 diffraction maxima, sorted by position, 2θ from 15° to 90°:
27.29 deg, intensity 100, hkl 2 0 2
27.77 deg, intensity 96, hkl 0 1 2
31.68 deg, intensity 23, hkl 0 0 4
32.00 deg, intensity 48, hkl 2 1 0
45.25 deg, intensity 17, hkl 4 0 0
45.65 deg, intensity 64, hkl 2 1 4
53.93 deg, intensity 31, hkl 4 1 2
54.76 deg, intensity 30, hkl 2 2 2

Structure:
```
data_Nd2Th2O7
_chemical_formula_sum 'Nd4 Th4 O14'
_symmetry_space_group_name_H-M 'P m m a'
_symmetry_Int_Tables_number 51
_cell_length_a 8.0152
_cell_length_b 3.9053
_cell_length_c 11.2965
_cell_angle_alpha 90.00
_cell_angle_beta 90.00
_cell_angle_gamma 90.00
loop_
_symmetry_equiv_pos_as_xyz
'x,y,z'
'-x,-y,-z'
'-x+1/2,-y,z'
'x+1/2,y,-z'
'x+1/2,-y,-z'
'-x+1/2,y,z'
'-x,y,-z'
'x,-y,z'
loop_
_atom_site_label
_atom_site_fract_x
_atom_site_fract_y
_atom_site_fract_z
_atom_site_occupancy
Nd1 0.0000 0.0000 0.0000 1
Nd2 0.2500 0.5000 0.2699 1
Th1 0.0000 0.0000 0.5000 1
Th2 0.2500 0.5000 0.7520 1
O1 0.0125 0.5000 0.6216 1
O2 0.0362 0.5000 0.1271 1
O3 0.2500 0.0000 0.3767 1
O4 0.2500 0.0000 0.6318 1
O5 0.2500 0.0000 0.8861 1
```

(10)
Starting from DFT lattice parameters and positions (PBE), the powder XRD pattern of CsPb6O8 was computed for CuKα.
No peak broadening, texture or thermal motion is included.

Largest 8 diffraction maxima, sorted by position, 2θ from 15° to 90°:
24.43 deg, intensity 100, hkl 0 2 1
25.89 deg, intensity 22, hkl 2 0 2
27.39 deg, intensity 26, hkl 0 1 5
29.60 deg, intensity 22, hkl 0 0 6
34.56 deg, intensity 23, hkl 2 0 5
37.66 deg, intensity 27, hkl 2 1 4
39.27 deg, intensity 31, hkl 0 3 3
42.07 deg, intensity 27, hkl 2 2 0

Structure:
```
data_CsPb6O8
_chemical_formula_sum 'Cs3 Pb18 O24'
_symmetry_space_group_name_H-M 'R -3'
_symmetry_Int_Tables_number 148
_symmetry_space_group_name_Hall '-R 3'
_cell_length_a 8.5916
_cell_length_b 8.5916
_cell_length_c 18.1073
_cell_angle_alpha 90.00
_cell_angle_beta 90.00
_cell_angle_gamma 120.00
loop_
_atom_site_label
_atom_site_fract_x
_atom_site_fract_y
_atom_site_fract_z
_atom_site_occupancy
Cs1 0.0000 0.0000 0.0000 1
Pb1 0.0529 0.5257 0.0891 1
O1 0.0000 0.0000 0.3780 1
O2 0.0101 0.5042 0.2124 1
```

(11)
Starting from DFT lattice parameters and positions (PBE), the powder XRD pattern of TlCuSb2 was computed for CuKα.
No peak broadening, texture or thermal motion is included.

Largest 8 diffraction maxima, sorted by position, 2θ from 15° to 90°:
26.24 deg, intensity 35, hkl 0 1 1
29.50 deg, intensity 26, hkl 1 0 1
32.28 deg, intensity 100, hkl 0 1 2
35.03 deg, intensity 60, hkl 1 0 2
36.71 deg, intensity 74, hkl 1 1 0
49.68 deg, intensity 31, hkl 1 1 3
61.62 deg, intensity 23, hkl 1 2 2
66.70 deg, intensity 25, hkl 2 1 2

Structure:
```
data_TlCuSb2
_chemical_formula_sum 'Tl1 Cu1 Sb2'
_symmetry_space_group_name_H-M 'P m m m'
_symmetry_Int_Tables_number 47
_cell_length_a 3.2509
_cell_length_b 3.7201
_cell_length_c 8.3195
_cell_angle_alpha 90.00
_cell_angle_beta 90.00
_cell_angle_gamma 90.00
loop_
_symmetry_equiv_pos_as_xyz
'x,y,z'
'-x,-y,-z'
'-x,-y,z'
'x,y,-z'
'x,-y,-z'
'-x,y,z'
'-x,y,-z'
'x,-y,z'
loop_
_atom_site_label
_atom_site_fract_x
_atom_site_fract_y
_atom_site_fract_z
_atom_site_occupancy
Tl1 0.0000 0.0000 0.0000 1
Cu1 0.0000 0.0000 0.5000 1
Sb1 0.5000 0.5000 0.3161 1
```